(1)
This entry pairs a crystal structure of AsPO with its computed powder X-ray diffraction pattern. Radiation: copper Kα. Structure: a crystal structure in Alexandria, relaxed with PBE.

Most intense lines, 10° ≤ 2θ ≤ 90°, in order of rising 2θ:
| 2θ (°) | intensity |
| --- | --- |
| 14.38 | 198 |
| 23.40 | 438 |
| 28.98 | 396 |
| 31.78 | 1000 |
| 38.05 | 234 |
| 45.79 | 121 |
| 47.85 | 132 |
| 48.53 | 286 |
| 50.59 | 420 |
| 59.33 | 213 |

Cell and atoms:
a = 6.4204 Å, b = 6.4204 Å, c = 4.8310 Å
α = 90.00°, β = 90.00°, γ = 147.34°
Element x y z (fractional)
As 0.1393 0.8607 0.5000
As 0.8607 0.1393 0.0000
P 0.3219 0.6781 0.6805
P 0.6781 0.3219 0.1805
O 0.4041 0.5959 0.4441
O 0.5959 0.4041 0.9441

---

(2)
This entry pairs a crystal structure of Nd6Dy2Zn with its computed powder X-ray diffraction pattern. Radiation: copper Kα. Structure: a crystal structure in Alexandria, relaxed with PBE.

Most intense lines, 10° ≤ 2θ ≤ 90°, in order of rising 2θ:
| 2θ (°) | intensity |
| --- | --- |
| 30.70 | 1000 |
| 31.26 | 301 |
| 31.93 | 659 |
| 32.71 | 390 |
| 36.96 | 169 |
| 45.87 | 209 |
| 50.18 | 141 |
| 57.14 | 173 |
| 59.08 | 188 |
| 64.64 | 140 |

Cell and atoms:
a = 10.3123 Å, b = 10.3242 Å, c = 5.4751 Å
α = 90.00°, β = 90.00°, γ = 90.00°
Element x y z (fractional)
Nd 0.0405 0.1878 0.0000
Nd 0.1225 0.6214 0.5000
Nd 0.1876 0.9575 0.5000
Nd 0.3124 0.4575 0.0000
Nd 0.3775 0.1214 0.0000
Nd 0.4595 0.6878 0.5000
Nd 0.5405 0.3122 0.5000
Nd 0.6225 0.8786 0.0000
Nd 0.6876 0.5425 0.0000
Nd 0.8124 0.0425 0.5000
Nd 0.8775 0.3786 0.5000
Nd 0.9595 0.8122 0.0000
Dy 0.2152 0.2830 0.5000
Dy 0.2848 0.7830 0.0000
Dy 0.7152 0.2170 0.0000
Dy 0.7848 0.7170 0.5000
Zn 0.0000 0.5000 0.0000
Zn 0.5000 0.0000 0.5000

---

(3)
This entry pairs a crystal structure of ZnCd2In2Hg2 with its computed powder X-ray diffraction pattern. Radiation: copper Kα. Structure: a crystal structure in Alexandria, relaxed with PBE.

Most intense lines, 10° ≤ 2θ ≤ 90°, in order of rising 2θ:
| 2θ (°) | intensity |
| --- | --- |
| 13.38 | 326 |
| 29.64 | 537 |
| 31.71 | 314 |
| 31.86 | 471 |
| 32.78 | 387 |
| 34.20 | 1000 |
| 34.56 | 610 |
| 37.68 | 540 |
| 38.77 | 574 |
| 40.10 | 394 |

Cell and atoms:
a = 3.5268 Å, b = 7.1952 Å, c = 7.5176 Å
α = 111.00°, β = 103.53°, γ = 94.02°
Element x y z (fractional)
Zn 0.0000 0.0000 0.0000
Cd 0.2309 0.1348 0.4239
Cd 0.7691 0.8652 0.5761
In 0.4647 0.2564 0.8841
In 0.5353 0.7436 0.1159
Hg 0.1189 0.4721 0.2922
Hg 0.8811 0.5279 0.7078

---

(4)
This entry pairs a crystal structure of Ca2BiOsO8 with its computed powder X-ray diffraction pattern. Radiation: copper Kα. Structure: a crystal structure in Alexandria, relaxed with PBE.

Most intense lines, 10° ≤ 2θ ≤ 90°, in order of rising 2θ:
| 2θ (°) | intensity |
| --- | --- |
| 17.39 | 1000 |
| 24.15 | 582 |
| 25.22 | 476 |
| 31.94 | 858 |
| 35.20 | 244 |
| 36.22 | 269 |
| 47.64 | 197 |
| 47.68 | 198 |
| 48.85 | 316 |
| 61.19 | 176 |

Cell and atoms:
a = 5.0990 Å, b = 6.7063 Å, c = 5.1094 Å
α = 90.00°, β = 92.44°, γ = 90.00°
Element x y z (fractional)
Ca 0.0000 0.2441 0.0000
Ca 0.0000 0.7559 0.0000
Bi 0.5000 0.5000 0.5000
Os 0.5000 0.0000 0.5000
O 0.2067 0.5000 0.2044
O 0.2411 0.0000 0.2384
O 0.3228 0.2113 0.6746
O 0.3228 0.7887 0.6746
O 0.6772 0.2113 0.3254
O 0.6772 0.7887 0.3254
O 0.7589 0.0000 0.7616
O 0.7933 0.5000 0.7956

---

(5)
This entry pairs a crystal structure of Ac4ZnIr3 with its computed powder X-ray diffraction pattern. Radiation: copper Kα. Structure: a crystal structure in Alexandria, relaxed with PBE.

Most intense lines, 10° ≤ 2θ ≤ 90°, in order of rising 2θ:
| 2θ (°) | intensity |
| --- | --- |
| 30.02 | 1000 |
| 30.96 | 270 |
| 31.44 | 311 |
| 36.97 | 214 |
| 37.38 | 669 |
| 40.03 | 283 |
| 42.84 | 248 |
| 51.76 | 159 |
| 60.06 | 175 |
| 74.76 | 145 |

Cell and atoms:
a = 4.2223 Å, b = 4.5051 Å, c = 11.5540 Å
α = 90.00°, β = 90.00°, γ = 90.00°
Element x y z (fractional)
Ac 0.0000 0.0000 0.0000
Ac 0.0000 0.5000 0.2624
Ac 0.5000 0.0000 0.4790
Ac 0.5000 0.5000 0.7689
Zn 0.0000 0.0000 0.6900
Ir 0.0000 0.5000 0.5649
Ir 0.5000 0.0000 0.2149
Ir 0.5000 0.5000 0.0377

---

(6)
This entry pairs a crystal structure of LaHoTmSc with its computed powder X-ray diffraction pattern. Radiation: copper Kα. Structure: a crystal structure in Alexandria, relaxed with PBE.

Most intense lines, 10° ≤ 2θ ≤ 90°, in order of rising 2θ:
| 2θ (°) | intensity |
| --- | --- |
| 29.46 | 228 |
| 29.82 | 231 |
| 31.20 | 303 |
| 31.46 | 469 |
| 32.20 | 1000 |
| 34.75 | 642 |
| 39.67 | 202 |
| 52.04 | 351 |
| 54.78 | 258 |
| 62.09 | 398 |

Cell and atoms:
a = 11.5552 Å, b = 11.5552 Å, c = 11.5552 Å
α = 17.50°, β = 17.50°, γ = 17.50°
Element x y z (fractional)
La 0.0000 0.0000 0.0000
Ho 0.8292 0.8292 0.8292
Tm 0.2447 0.2447 0.2447
Sc 0.4172 0.4172 0.4172